For Hf3TlGe5, the PBE geometry in OQMD gives the theoretical XRD peak list in this record (λ = 1.5418 Å (Cu Kα)).

Unit cell a=5.8535 b=5.8535 c=6.8987 alpha=90.00 beta=90.00 gamma=120.00
Space group P6/mmm (No. 191)
One atom of each set of equivalent atoms:
Hf  0.0000  0.5000  0.0000 x3
Tl  0.0000  0.0000  0.5000 x1
Ge  0.0000  0.0000  0.0000 x1
Ge  0.3333  0.6667  0.3231 x4

Principal peaks in the range 2θ = 10–80°, by intensity:
index	Position (°2θ)	d (Å)	Rel. int.
2 0 2	44.35	2.043	100.0
1 1 1	33.25	2.694	51.9
2 0 0	35.41	2.535	49.5
2 0 1	37.81	2.379	43.2
1 0 1	21.76	4.085	42.3
0 0 2	25.83	3.449	33.4
0 0 1	12.83	6.899	31.9
2 0 4	65.46	1.426	28.0
1 1 0	30.54	2.927	27.9
1 0 3	43.20	2.094	27.1
2 2 0	63.58	1.463	26.0
2 1 3	63.16	1.472	17.7